# Sr2La4Ru
Theoretical XRD peak list, λ = 1.5418 Å (Cu Kα). Input: a PBE-relaxed structure.
Kinematic intensities with the Lorentz-polarization factor, no thermal factor.

Largest 12 diffraction maxima, low angle first, 10° ≤ 2θ ≤ 80°:
| 2theta | Rel. int. | index |
| --- | --- | --- |
| 16.33 | 498 | 1 0 1 |
| 22.25 | 268 | 1 1 0 |
| 24.06 | 487 | 1 1 2 |
| 27.34 | 474 | 0 0 6 |
| 28.85 | 1000 | 1 1 4 |
| 31.67 | 948 | 2 0 0 |
| 35.83 | 271 | 1 0 7 |
| 42.32 | 579 | 2 0 6 |
| 45.40 | 347 | 2 2 0 |
| 52.02 | 287 | 1 1 10 |
| 53.81 | 284 | 2 2 6 |
| 54.69 | 333 | 3 1 4 |

Atomic structure:
Cell lengths 5.6504, 5.6504, 19.5756 Å; angles 90.00, 90.00, 90.00 degrees
Space group I4/mmm (No. 139)
Inequivalent atoms, fractional coordinates:
Sr 0.0000 0.0000 0.1626 (multiplicity 4)
La 0.0000 0.0000 0.3618 (multiplicity 4)
La 0.0000 0.5000 0.0000 (multiplicity 4)
Ru 0.0000 0.0000 0.5000 (multiplicity 2)

# LaTbRu
Theoretical XRD peak list, λ = 1.5418 Å (Cu Kα). Input: a PBE-relaxed structure.
Kinematic intensities with the Lorentz-polarization factor, no thermal factor.

Largest 12 diffraction maxima, low angle first, 10° ≤ 2θ ≤ 80°:
| 2theta | Rel. int. | index |
| --- | --- | --- |
| 21.59 | 283 | 1 1 0 |
| 26.84 | 331 | 2 0 -2 |
| 28.97 | 811 | 1 2 -1 |
| 29.42 | 1000 | 1 1 1 |
| 30.06 | 970 | 1 1 -3 |
| 37.43 | 641 | 2 2 -2 |
| 37.53 | 332 | 2 1 0 |
| 38.57 | 351 | 2 1 -4 |
| 45.66 | 674 | 0 3 2 |
| 48.61 | 240 | 3 1 -1 |
| 49.89 | 245 | 3 1 -5 |
| 54.52 | 254 | 1 4 -1 |

Atomic structure:
Cell lengths 6.6453, 6.9597, 10.0191 Å; angles 90.00, 129.81, 90.00 degrees
Space group P2_1/c (No. 14)
Inequivalent atoms, fractional coordinates:
La 0.1554 0.0711 0.3889 (multiplicity 4)
Tb 0.3688 0.5704 0.6093 (multiplicity 4)
Ru 0.3257 0.7462 0.3364 (multiplicity 4)

# LaTb4Ru2
Theoretical XRD peak list, λ = 1.5418 Å (Cu Kα). Input: a PBE-relaxed structure.
Kinematic intensities with the Lorentz-polarization factor, no thermal factor.

Largest 12 diffraction maxima, low angle first, 10° ≤ 2θ ≤ 80°:
| 2theta | Rel. int. | index |
| --- | --- | --- |
| 29.89 | 917 | 0 2 1 |
| 30.17 | 984 | 2 1 -2 |
| 30.54 | 708 | 1 2 -1 |
| 32.02 | 626 | 2 0 1 |
| 32.85 | 996 | 1 0 -3 |
| 34.13 | 710 | 1 1 2 |
| 34.39 | 575 | 1 2 1 |
| 35.32 | 1000 | 1 2 -2 |
| 36.10 | 667 | 2 2 -1 |
| 37.52 | 761 | 2 2 0 |
| 40.69 | 666 | 3 0 -3 |
| 56.46 | 691 | 0 4 0 |

Atomic structure:
Cell lengths 7.7255, 6.5194, 8.1916 Å; angles 90.00, 113.70, 90.00 degrees
Space group P2_1/m (No. 11)
Inequivalent atoms, fractional coordinates:
La 0.0244 0.2500 0.1729 (multiplicity 2)
Tb 0.2492 0.5015 0.5875 (multiplicity 4)
Tb 0.3224 0.7500 0.2577 (multiplicity 2)
Tb 0.3789 0.2500 0.0141 (multiplicity 2)
Ru 0.0198 0.2500 0.7219 (multiplicity 2)
Ru 0.4006 0.2500 0.3616 (multiplicity 2)

# LaThRu2
Theoretical XRD peak list, λ = 1.5418 Å (Cu Kα). Input: a PBE-relaxed structure.
Kinematic intensities with the Lorentz-polarization factor, no thermal factor.

Largest 12 diffraction maxima, low angle first, 10° ≤ 2θ ≤ 80°:
| 2theta | Rel. int. | index |
| --- | --- | --- |
| 29.56 | 500 | 1 1 2 |
| 30.13 | 860 | 0 0 4 |
| 32.38 | 1000 | 2 0 -2 |
| 34.01 | 876 | 0 2 1 |
| 35.00 | 559 | 1 1 3 |
| 38.96 | 305 | 2 0 -4 |
| 39.07 | 311 | 2 0 2 |
| 40.41 | 556 | 0 2 3 |
| 46.34 | 810 | 2 2 -1 |
| 56.21 | 298 | 2 2 -5 |
| 56.33 | 296 | 2 2 3 |
| 76.07 | 280 | 4 2 -3 |

Atomic structure:
Cell lengths 5.6866, 5.4073, 12.2094 Å; angles 90.00, 103.63, 90.00 degrees
Space group P2/c (No. 13)
Inequivalent atoms, fractional coordinates:
La 0.1934 0.1258 0.1406 (multiplicity 4)
Th 0.3059 0.3751 0.8628 (multiplicity 4)
Ru 0.1690 0.3795 0.5933 (multiplicity 4)
Ru 0.3336 0.1333 0.4196 (multiplicity 4)

# La3Tl2Ru
Theoretical XRD peak list, λ = 1.5418 Å (Cu Kα). Input: a PBE-relaxed structure.
Kinematic intensities with the Lorentz-polarization factor, no thermal factor.

Largest 12 diffraction maxima, low angle first, 10° ≤ 2θ ≤ 80°:
| 2theta | Rel. int. | index |
| --- | --- | --- |
| 23.12 | 296 | 0 0 2 |
| 29.00 | 640 | 1 1 2 |
| 30.55 | 789 | 5 1 0 |
| 30.76 | 234 | 6 0 0 |
| 31.00 | 763 | 4 0 -2 |
| 32.50 | 1000 | 3 1 2 |
| 33.34 | 737 | 0 2 0 |
| 39.88 | 237 | 7 1 0 |
| 46.17 | 506 | 4 2 -2 |
| 47.26 | 279 | 0 0 4 |
| 57.33 | 272 | 5 1 -4 |
| 59.06 | 471 | 0 2 4 |

Atomic structure:
Cell lengths 17.4391, 5.3750, 7.6930 Å; angles 90.00, 90.04, 90.00 degrees
Space group C2/c (No. 15)
Inequivalent atoms, fractional coordinates:
La 0.0000 0.0008 0.2500 (multiplicity 4)
La 0.1290 0.5000 0.0000 (multiplicity 8)
Tl 0.1959 0.0001 0.2496 (multiplicity 8)
Ru 0.0000 0.4987 0.7500 (multiplicity 4)

# La6Tl3Ru
Theoretical XRD peak list, λ = 1.5418 Å (Cu Kα). Input: a PBE-relaxed structure.
Kinematic intensities with the Lorentz-polarization factor, no thermal factor.

Largest 12 diffraction maxima, low angle first, 10° ≤ 2θ ≤ 80°:
| 2theta | Rel. int. | index |
| --- | --- | --- |
| 28.97 | 434 | 1 1 2 |
| 29.27 | 350 | 1 1 -4 |
| 29.84 | 340 | 0 2 3 |
| 30.49 | 322 | 0 0 4 |
| 30.63 | 572 | 2 0 -2 |
| 32.66 | 1000 | 1 3 -1 |
| 43.08 | 106 | 2 2 1 |
| 43.49 | 201 | 2 0 2 |
| 45.15 | 215 | 1 3 3 |
| 45.42 | 185 | 1 3 -5 |
| 55.75 | 150 | 3 3 -3 |
| 68.39 | 123 | 2 6 -2 |

Atomic structure:
Cell lengths 5.8380, 9.3187, 13.0352 Å; angles 90.00, 115.90, 90.00 degrees
Space group P2_1/c (No. 14)
Inequivalent atoms, fractional coordinates:
La 0.0203 0.1475 0.0627 (multiplicity 4)
La 0.3135 0.5131 0.2673 (multiplicity 4)
La 0.4300 0.1971 0.4498 (multiplicity 4)
Tl 0.0000 0.0000 0.5000 (multiplicity 2)
Tl 0.2133 0.6446 0.7576 (multiplicity 4)
Ru 0.5000 0.0000 0.0000 (multiplicity 2)

# La7Tl2Ru2
Theoretical XRD peak list, λ = 1.5418 Å (Cu Kα). Input: a PBE-relaxed structure.
Kinematic intensities with the Lorentz-polarization factor, no thermal factor.

Largest 12 diffraction maxima, low angle first, 10° ≤ 2θ ≤ 80°:
| 2theta | Rel. int. | index |
| --- | --- | --- |
| 24.56 | 275 | 1 2 1 |
| 27.36 | 894 | 1 1 2 |
| 30.66 | 396 | 0 5 1 |
| 31.97 | 1000 | 1 4 1 |
| 32.08 | 459 | 1 3 2 |
| 33.69 | 310 | 1 0 3 |
| 35.74 | 331 | 1 2 3 |
| 36.46 | 308 | 0 0 4 |
| 39.76 | 477 | 2 0 0 |
| 39.88 | 287 | 0 6 2 |
| 41.73 | 193 | 1 6 1 |
| 57.59 | 196 | 2 6 2 |

Atomic structure:
Cell lengths 4.5336, 15.2622, 9.8578 Å; angles 90.00, 90.00, 90.00 degrees
Space group Imm2 (No. 44)
Inequivalent atoms, fractional coordinates:
La 0.0000 0.0000 0.0000 (multiplicity 2)
La 0.0000 0.0984 0.3997 (multiplicity 4)
La 0.0000 0.3291 0.6448 (multiplicity 4)
La 0.0000 0.3821 0.2121 (multiplicity 4)
Tl 0.0000 0.2309 0.9344 (multiplicity 4)
Ru 0.0000 0.0000 0.6664 (multiplicity 2)
Ru 0.0000 0.5000 0.7035 (multiplicity 2)

# LaV2Ru
Theoretical XRD peak list, λ = 1.5418 Å (Cu Kα). Input: a PBE-relaxed structure.
Kinematic intensities with the Lorentz-polarization factor, no thermal factor.

Largest 9 diffraction maxima, low angle first, 10° ≤ 2θ ≤ 80°:
| 2theta | Rel. int. | index |
| --- | --- | --- |
| 23.99 | 23 | 1 1 1 |
| 27.77 | 216 | 2 0 0 |
| 39.68 | 1000 | 2 2 0 |
| 46.91 | 13 | 3 1 1 |
| 49.13 | 64 | 2 2 2 |
| 57.37 | 163 | 4 0 0 |
| 63.08 | 5 | 3 3 1 |
| 64.91 | 86 | 4 2 0 |
| 72.01 | 323 | 4 2 2 |

Atomic structure:
Cell lengths 6.4242, 6.4242, 6.4242 Å; angles 90.00, 90.00, 90.00 degrees
Space group Fm-3m (No. 225)
Inequivalent atoms, fractional coordinates:
La 0.0000 0.0000 0.0000 (multiplicity 4)
V 0.2500 0.2500 0.2500 (multiplicity 8)
Ru 0.0000 0.0000 0.5000 (multiplicity 4)